No. 1
For Y2C3O11, a DFT-relaxed cell (PBE, the Materials Project) gives the theoretical X-ray diffraction stick pattern in this record (Cu Kα).
Intensities are scaled so that the largest is 100.

Top 8 peaks for 5° ≤ 2θ ≤ 70°, in order of rising 2θ:
11.8 deg, intensity 79; 15.9 deg, intensity 97; 19.2 deg, intensity 86; 23.1 deg, intensity 100; 25.0 deg, intensity 75; 30.2 deg, intensity 72; 35.7 deg, intensity 40; 45.7 deg, intensity 57

Atomic structure:
```
32
Lattice="7.528 -2.998 0.000 7.528 2.998 0.000 0.000 0.000 9.266" Properties=species:S:1:pos:R:3 pbc="T T T"
Y 2.374 0.019 0.000
Y 2.374 -0.019 4.633
Y 12.682 0.019 0.000
Y 12.682 -0.019 4.633
C 4.610 1.451 2.296
C 7.528 1.611 5.251
C 10.446 1.451 2.296
C 4.610 -1.451 6.929
C 7.528 -1.611 0.617
C 10.446 -1.451 6.929
O 1.991 0.636 6.938
O 7.528 2.845 4.682
O 4.102 1.113 3.435
O 4.213 1.005 1.160
O 1.991 -0.636 2.305
O 6.214 1.044 8.398
O 6.380 1.108 5.481
O 8.676 1.108 5.481
O 8.842 1.044 8.398
O 4.213 -1.005 5.793
O 4.102 -1.113 8.068
O 10.954 1.113 3.435
O 10.843 1.005 1.160
O 6.214 -1.044 3.765
O 6.380 -1.108 0.848
O 8.676 -1.108 0.848
O 8.842 -1.044 3.765
O 13.065 0.636 6.938
O 10.843 -1.005 5.793
O 10.954 -1.113 8.068
O 7.528 -2.845 0.049
O 13.065 -0.636 2.305
```


No. 2
For Zr2Re, a DFT-relaxed cell (PBE, the Materials Project) gives the theoretical X-ray diffraction stick pattern in this record (Cu Kα).
Intensities are scaled so that the largest is 100.

Top 8 peaks for 5° ≤ 2θ ≤ 70°, in order of rising 2θ:
17.9 deg, intensity 43; 31.5 deg, intensity 36; 36.2 deg, intensity 79; 37.3 deg, intensity 86; 39.7 deg, intensity 100; 40.7 deg, intensity 59; 61.6 deg, intensity 27; 66.6 deg, intensity 17

Atomic structure:
```
30
Lattice="10.223 0.000 0.000 0.000 10.223 0.000 0.000 0.000 5.682" Properties=species:S:1:pos:R:3 pbc="T T T"
Zr 0.355 3.783 0.000
Zr 1.036 1.036 0.000
Zr 1.328 5.466 2.841
Zr 1.860 8.363 1.416
Zr 1.860 8.363 4.266
Zr 3.252 3.252 1.425
Zr 3.252 3.252 4.257
Zr 3.783 0.355 0.000
Zr 4.075 6.148 2.841
Zr 4.757 8.895 2.841
Zr 5.466 1.328 2.841
Zr 6.148 4.075 2.841
Zr 6.439 9.868 0.000
Zr 6.971 6.971 1.425
Zr 6.971 6.971 4.257
Zr 8.363 1.860 1.416
Zr 8.363 1.860 4.266
Zr 8.895 4.757 2.841
Zr 9.186 9.186 0.000
Zr 9.868 6.439 0.000
Re 0.000 0.000 2.841
Re 0.707 2.540 2.841
Re 2.540 0.707 2.841
Re 2.572 5.819 0.000
Re 4.404 7.651 0.000
Re 5.111 5.111 0.000
Re 5.819 2.572 0.000
Re 7.651 4.404 0.000
Re 7.683 9.515 2.841
Re 9.515 7.683 2.841
```


No. 3
For ScAu, a DFT-relaxed cell (PBE, the Materials Project) gives the theoretical X-ray diffraction stick pattern in this record (Cu Kα).
Intensities are scaled so that the largest is 100.

Top 6 peaks for 5° ≤ 2θ ≤ 70°, in order of rising 2θ:
26.1 deg, intensity 49; 37.3 deg, intensity 100; 46.1 deg, intensity 15; 53.7 deg, intensity 17; 60.7 deg, intensity 21; 67.2 deg, intensity 35

Atomic structure:
```
2
Lattice="3.414 0.000 0.000 0.000 3.414 0.000 0.000 0.000 3.414" Properties=species:S:1:pos:R:3 pbc="T T T"
Sc 0.000 0.000 0.000
Au 1.707 1.707 1.707
```


No. 4
For NdVSb3, a DFT-relaxed cell (PBE, the Materials Project) gives the theoretical X-ray diffraction stick pattern in this record (Cu Kα).
Intensities are scaled so that the largest is 100.

Top 8 peaks for 5° ≤ 2θ ≤ 70°, in order of rising 2θ:
28.6 deg, intensity 9; 31.8 deg, intensity 100; 32.0 deg, intensity 34; 35.0 deg, intensity 31; 36.6 deg, intensity 47; 44.4 deg, intensity 9; 52.7 deg, intensity 24; 61.6 deg, intensity 11

Atomic structure:
```
20
Lattice="10.306 0.000 0.000 0.000 7.939 0.000 0.000 0.000 6.245" Properties=species:S:1:pos:R:3 pbc="T T T"
Nd 2.559 0.696 1.561
Nd 2.559 3.273 4.684
Nd 7.747 4.666 1.561
Nd 7.747 7.242 4.684
V 0.469 5.954 0.000
V 0.469 5.954 3.122
V 9.837 1.985 0.000
V 9.837 1.985 3.122
Sb 0.926 0.268 4.684
Sb 0.926 3.702 1.561
Sb 3.184 5.954 0.000
Sb 3.184 5.954 3.122
Sb 4.348 0.503 4.684
Sb 4.348 3.467 1.561
Sb 5.958 4.472 4.684
Sb 5.958 7.436 1.561
Sb 7.122 1.985 0.000
Sb 7.122 1.985 3.122
Sb 9.380 4.237 4.684
Sb 9.380 7.671 1.561
```


No. 5
For NaLi2Ru6O12, a DFT-relaxed cell (PBE, the Materials Project) gives the theoretical X-ray diffraction stick pattern in this record (Cu Kα).
Intensities are scaled so that the largest is 100.

Top 8 peaks for 5° ≤ 2θ ≤ 70°, in order of rising 2θ:
18.7 deg, intensity 100; 32.6 deg, intensity 59; 32.7 deg, intensity 30; 37.0 deg, intensity 28; 37.2 deg, intensity 28; 37.3 deg, intensity 29; 50.6 deg, intensity 15; 61.6 deg, intensity 12

Atomic structure:
```
42
Lattice="5.624 0.000 0.000 -0.112 9.510 0.000 -2.717 -4.771 8.206" Properties=species:S:1:pos:R:3 pbc="T T T"
Na 0.034 -2.236 4.094
Na 2.761 6.976 4.112
Li -2.144 2.398 6.853
Li 2.169 2.419 1.379
Li 0.626 2.320 6.827
Li 4.939 2.342 1.352
Ru -2.011 5.274 6.894
Ru -0.593 3.765 3.948
Ru 0.517 5.645 1.162
Ru -0.794 -0.831 7.068
Ru 0.830 0.903 4.269
Ru 2.245 -0.625 1.313
Ru 0.550 5.364 6.893
Ru 1.965 3.836 3.936
Ru 3.589 5.570 1.137
Ru 2.278 -0.906 7.043
Ru 3.389 0.974 4.257
Ru 4.806 -0.535 1.312
O -0.737 5.328 2.673
O -0.714 0.016 3.301
O 0.621 3.678 0.424
O 0.743 0.693 0.774
O -0.678 2.022 5.130
O 0.579 7.636 1.630
O -0.687 -2.732 6.378
O 0.728 2.533 2.982
O -0.678 3.831 7.436
O -0.673 1.048 7.994
O 0.655 5.021 4.908
O 0.753 -0.517 5.768
O 2.043 5.257 2.438
O 2.140 -0.282 3.297
O 3.468 3.692 0.212
O 3.474 0.909 0.770
O 2.067 2.207 5.224
O 3.483 7.471 1.828
O 2.217 -2.896 6.576
O 3.473 2.717 3.076
O 2.052 4.046 7.432
O 2.174 1.061 7.782
O 3.509 4.723 4.905
O 3.532 -0.588 5.533
```


No. 6
For CeAl2Ge2, a DFT-relaxed cell (PBE, the Materials Project) gives the theoretical X-ray diffraction stick pattern in this record (Cu Kα).
Intensities are scaled so that the largest is 100.

Top 8 peaks for 5° ≤ 2θ ≤ 70°, in order of rising 2θ:
12.9 deg, intensity 21; 27.3 deg, intensity 100; 35.6 deg, intensity 68; 42.1 deg, intensity 52; 46.6 deg, intensity 20; 50.9 deg, intensity 18; 56.3 deg, intensity 18; 59.0 deg, intensity 17

Atomic structure:
```
5
Lattice="4.291 0.000 0.000 -2.146 3.716 0.000 0.000 0.000 6.876" Properties=species:S:1:pos:R:3 pbc="T T T"
Ce 0.000 0.000 0.000
Al 0.000 2.478 4.415
Al 2.146 1.239 2.461
Ge 0.000 2.478 1.818
Ge 2.146 1.239 5.058
```


No. 7
For CuS, a DFT-relaxed cell (PBE, the Materials Project) gives the theoretical X-ray diffraction stick pattern in this record (Cu Kα).
Intensities are scaled so that the largest is 100.

Top 8 peaks for 5° ≤ 2θ ≤ 70°, in order of rising 2θ:
16.7 deg, intensity 100; 28.4 deg, intensity 29; 33.1 deg, intensity 43; 33.7 deg, intensity 13; 44.7 deg, intensity 22; 50.4 deg, intensity 16; 53.4 deg, intensity 24; 62.0 deg, intensity 12

Atomic structure:
```
2
Lattice="3.623 0.000 0.000 -1.812 3.138 0.000 0.000 0.000 5.320" Properties=species:S:1:pos:R:3 pbc="T T T"
Cu 0.000 0.000 0.000
S 0.000 2.092 4.828
```


No. 8
For Be2BH3O5, a DFT-relaxed cell (PBE, the Materials Project) gives the theoretical X-ray diffraction stick pattern in this record (Cu Kα).
Intensities are scaled so that the largest is 100.

Top 8 peaks for 5° ≤ 2θ ≤ 70°, in order of rising 2θ:
16.4 deg, intensity 100; 27.8 deg, intensity 43; 28.7 deg, intensity 32; 28.9 deg, intensity 33; 33.2 deg, intensity 65; 40.4 deg, intensity 26; 40.7 deg, intensity 15; 44.4 deg, intensity 13

Atomic structure:
```
11
Lattice="4.431 0.000 0.000 2.214 3.875 0.000 0.050 0.232 5.403" Properties=species:S:1:pos:R:3 pbc="T T T"
Be 0.000 0.000 0.000
Be 2.228 1.278 1.110
B 4.429 2.579 0.527
H 0.869 0.616 3.314
H 2.245 2.147 3.092
H 3.616 0.634 3.317
O 3.053 2.585 0.532
O 2.269 1.236 2.732
O 5.114 3.774 0.519
O 5.113 1.384 0.534
O 4.460 0.209 3.738
```


No. 9
For Ti2N2O, a DFT-relaxed cell (PBE, the Materials Project) gives the theoretical X-ray diffraction stick pattern in this record (Cu Kα).
Intensities are scaled so that the largest is 100.

Top 8 peaks for 5° ≤ 2θ ≤ 70°, in order of rising 2θ:
22.9 deg, intensity 22; 32.7 deg, intensity 100; 37.9 deg, intensity 9; 44.8 deg, intensity 11; 48.9 deg, intensity 10; 54.7 deg, intensity 26; 54.8 deg, intensity 13; 65.1 deg, intensity 8

Atomic structure:
```
40
Lattice="8.211 0.000 0.000 -2.720 7.759 0.000 -2.733 -3.882 6.714" Properties=species:S:1:pos:R:3 pbc="T T T"
Ti 0.000 0.000 0.000
Ti -2.641 1.997 3.382
Ti -2.174 4.647 1.726
Ti -0.021 -0.450 3.156
Ti 0.184 2.814 1.358
Ti -2.402 4.803 4.824
Ti -2.160 2.158 6.544
Ti 2.794 1.089 1.188
Ti 0.434 -0.316 6.189
Ti 0.465 5.598 2.826
Ti 0.433 2.537 5.076
Ti 2.797 3.397 3.099
Ti 2.930 0.900 4.730
Ti 3.025 6.687 1.469
Ti 3.221 -1.696 6.457
Ti 5.458 -0.889 4.540
N -1.756 2.598 1.722
N -2.929 -1.852 6.319
N -0.749 -1.245 4.877
N -0.302 4.736 1.086
N -1.486 2.937 4.720
N -1.477 5.659 3.296
N 0.981 0.750 4.439
N 2.282 3.035 1.205
N -0.285 1.555 6.653
N 3.710 -0.740 1.521
N 1.268 -2.206 6.367
N 3.460 -1.112 4.537
N 3.559 1.539 2.969
N 2.539 2.836 5.085
N 5.022 6.332 1.347
N 6.266 0.171 2.964
O -3.199 0.965 5.154
O -3.475 3.817 6.335
O 0.824 0.856 1.768
O 0.755 3.601 3.294
O 3.441 -3.722 6.620
O 2.565 5.452 3.008
O 2.434 0.159 6.637
O 4.696 3.917 3.230
```


No. 10
For K2NaPrF6, a DFT-relaxed cell (PBE, the Materials Project) gives the theoretical X-ray diffraction stick pattern in this record (Cu Kα).
Intensities are scaled so that the largest is 100.

Top 8 peaks for 5° ≤ 2θ ≤ 70°, in order of rising 2θ:
16.8 deg, intensity 68; 19.4 deg, intensity 41; 27.6 deg, intensity 100; 32.5 deg, intensity 41; 39.5 deg, intensity 58; 44.4 deg, intensity 20; 48.9 deg, intensity 41; 57.1 deg, intensity 35

Atomic structure:
```
10
Lattice="0.000 4.565 4.565 4.565 0.000 4.565 4.565 4.565 0.000" Properties=species:S:1:pos:R:3 pbc="T T T"
K 2.283 2.283 2.283
K 6.848 6.848 6.848
Na 0.000 0.000 0.000
Pr 4.565 4.565 4.565
F 4.565 4.565 2.276
F 4.565 2.276 4.565
F 6.855 4.565 4.565
F 2.276 4.565 4.565
F 4.565 6.855 4.565
F 4.565 4.565 6.855
```


No. 11
For Th2Co17, a DFT-relaxed cell (PBE, the Materials Project) gives the theoretical X-ray diffraction stick pattern in this record (Cu Kα).
Intensities are scaled so that the largest is 100.

Top 8 peaks for 5° ≤ 2θ ≤ 70°, in order of rising 2θ:
30.7 deg, intensity 62; 37.2 deg, intensity 46; 38.6 deg, intensity 35; 43.2 deg, intensity 66; 43.6 deg, intensity 100; 44.5 deg, intensity 23; 44.6 deg, intensity 29; 63.1 deg, intensity 26

Atomic structure:
```
19
Lattice="4.185 2.416 4.060 -4.185 2.416 4.060 0.000 -4.833 4.060" Properties=species:S:1:pos:R:3 pbc="T T T"
Th 0.000 0.000 1.906
Th 0.000 0.000 10.273
Co -2.093 -1.208 4.060
Co 0.000 -2.381 3.885
Co -2.062 1.190 3.885
Co -1.191 -2.063 6.090
Co -2.383 0.000 6.090
Co -2.062 -1.190 8.294
Co 0.000 0.000 4.909
Co -2.093 1.208 8.119
Co 1.191 -2.063 6.090
Co 0.000 2.416 4.060
Co -1.191 2.063 6.090
Co 0.000 0.000 7.270
Co 2.062 1.190 3.885
Co 2.383 0.000 6.090
Co 1.191 2.063 6.090
Co 2.062 -1.190 8.294
Co 0.000 2.381 8.294
```